# 1
For CaMgZn, a DFT-relaxed cell (PBE, the Materials Project) gives the simulated powder diffraction line list in this record (a wavelength of 1.5418 Å).

Peak list (8 most intense, 10° ≤ 2θ ≤ 80°, low angle first)
2θ 18.4, intensity 31
2θ 19.6, intensity 25
2θ 32.8, intensity 80
2θ 35.9, intensity 83
2θ 36.3, intensity 100
2θ 36.9, intensity 49
2θ 37.2, intensity 29
2θ 59.9, intensity 31

Structural model:
```
data_CaMgZn
_space_group_name_H-M_alt 'A m m 2'
_space_group_IT_number 38
_cell_length_a 9.6669
_cell_length_b 5.9500
_cell_length_c 10.0678
_cell_angle_alpha 90.00
_cell_angle_beta 90.00
_cell_angle_gamma 90.00
loop_
_space_group_symop_operation_xyz
'x,y,z'
'-x,-y,z'
'-x,y,z'
'x,-y,z'
'x,y+1/2,z+1/2'
'-x,-y+1/2,z+1/2'
'-x,y+1/2,z+1/2'
'x,-y+1/2,z+1/2'
loop_
_atom_site_label
_atom_site_fract_x
_atom_site_fract_y
_atom_site_fract_z
_atom_site_occupancy
Ca1 0.1777 0.0000 0.0000 1
Ca2 0.3019 0.0000 0.6657 1
Mg1 0.2357 0.0000 0.3286 1
Mg2 0.5000 0.2464 0.9189 1
Zn1 0.0000 0.0000 0.5093 1
Zn2 0.0000 0.2330 0.7442 1
Zn3 0.5000 0.0000 0.1615 1
```



# 2
For Ca3Mg5Zn10, a DFT-relaxed cell (PBE, the Materials Project) gives the simulated powder diffraction line list in this record (a wavelength of 1.5418 Å).

Peak list (8 most intense, 10° ≤ 2θ ≤ 80°, low angle first)
2θ 11.0, intensity 100
2θ 14.4, intensity 59
2θ 34.6, intensity 54
2θ 34.9, intensity 67
2θ 35.1, intensity 53
2θ 37.7, intensity 47
2θ 38.5, intensity 46
2θ 38.8, intensity 82

Structural model:
```
data_Ca3Mg5Zn10
_space_group_name_H-M_alt 'C 1 c 1'
_space_group_IT_number 9
_cell_length_a 9.3516
_cell_length_b 16.0195
_cell_length_c 9.5565
_cell_angle_alpha 90.00
_cell_angle_beta 90.27
_cell_angle_gamma 90.00
loop_
_space_group_symop_operation_xyz
'x,y,z'
'x,-y,z+1/2'
'x+1/2,y+1/2,z'
'x+1/2,-y+1/2,z+1/2'
loop_
_atom_site_label
_atom_site_fract_x
_atom_site_fract_y
_atom_site_fract_z
_atom_site_occupancy
Ca1 0.0000 0.1007 0.0000 1
Ca2 0.1144 0.3965 0.4981 1
Ca3 0.3029 0.2042 0.4957 1
Mg1 0.0404 0.4214 0.1572 1
Mg2 0.0440 0.4213 0.8388 1
Mg3 0.0729 0.0743 0.6583 1
Mg4 0.3007 0.1539 0.1624 1
Mg5 0.3062 0.1572 0.8380 1
Zn1 0.0550 0.2501 0.7475 1
Zn2 0.0567 0.2480 0.2490 1
Zn3 0.0727 0.0775 0.3399 1
Zn4 0.1590 0.2836 0.9983 1
Zn5 0.3045 0.0017 0.4898 1
Zn6 0.3070 0.3336 0.2425 1
Zn7 0.3078 0.3337 0.7543 1
Zn8 0.3087 0.4311 0.9976 1
Zn9 0.3089 0.5003 0.2485 1
Zn10 0.4567 0.2852 0.9965 1
```



# 3
For Ca3Mn, a DFT-relaxed cell (PBE, the Materials Project) gives the simulated powder diffraction line list in this record (a wavelength of 1.5418 Å).

Peak list (8 most intense, 10° ≤ 2θ ≤ 80°, low angle first)
2θ 19.2, intensity 1
2θ 22.2, intensity 1
2θ 31.6, intensity 100
2θ 37.3, intensity 1
2θ 45.4, intensity 17
2θ 56.4, intensity 33
2θ 66.1, intensity 10
2θ 75.1, intensity 13

Structural model:
```
data_Ca3Mn
_space_group_name_H-M_alt 'F m -3 m'
_space_group_IT_number 225
_space_group_name_Hall '-F 4 2 3'
_cell_length_a 7.9964
_cell_length_b 7.9964
_cell_length_c 7.9964
_cell_angle_alpha 90.00
_cell_angle_beta 90.00
_cell_angle_gamma 90.00
loop_
_atom_site_label
_atom_site_fract_x
_atom_site_fract_y
_atom_site_fract_z
_atom_site_occupancy
Ca1 0.0000 0.0000 0.0000 1
Ca2 0.2500 0.2500 0.2500 1
Mn1 0.0000 0.0000 0.5000 1
```